No. 1
NaPa2S4: simulated powder diffractogram (copper Kα), based on a crystal structure in Alexandria, relaxed with PBE.

Atomic structure:
```
data_NaPa2S4
_chemical_formula_sum 'Na2 Pa4 S8'
_cell_length_a 6.770
_cell_length_b 6.770
_cell_length_c 13.409
_cell_angle_alpha 90.00
_cell_angle_beta 90.00
_cell_angle_gamma 146.25
_space_group_name_H-M_alt 'P 1'
_space_group_IT_number 1
loop_
_space_group_symop_operation_xyz
'x,y,z'
loop_
_atom_site_label
_atom_site_type_symbol
_atom_site_fract_x
_atom_site_fract_y
_atom_site_fract_z
Na1 Na 0.111 0.889 0.750
Na2 Na 0.889 0.111 0.250
Pa1 Pa 0.370 0.630 0.567
Pa2 Pa 0.370 0.630 0.933
Pa3 Pa 0.630 0.370 0.067
Pa4 Pa 0.630 0.370 0.433
S1 S 0.000 0.000 0.000
S2 S 0.000 0.000 0.500
S3 S 0.269 0.731 0.114
S4 S 0.269 0.731 0.386
S5 S 0.451 0.549 0.750
S6 S 0.549 0.451 0.250
S7 S 0.731 0.269 0.614
S8 S 0.731 0.269 0.886
```

Most intense lines, 10° ≤ 2θ ≤ 90°, sorted by position:
two_theta  I_rel
13.21  90
15.19  47
23.65  53
24.19  100
30.76  43
31.07  33
33.60  45
36.25  31
41.35  32
46.67  61

No. 2
Na4PaS4: simulated powder diffractogram (copper Kα), based on a crystal structure in Alexandria, relaxed with PBE.

Atomic structure:
```
data_Na4PaS4
_chemical_formula_sum 'Na4 Pa1 S4'
_cell_length_a 7.734
_cell_length_b 7.734
_cell_length_c 7.734
_cell_angle_alpha 126.95
_cell_angle_beta 126.95
_cell_angle_gamma 78.33
_space_group_name_H-M_alt 'P 1'
_space_group_IT_number 1
loop_
_space_group_symop_operation_xyz
'x,y,z'
loop_
_atom_site_label
_atom_site_type_symbol
_atom_site_fract_x
_atom_site_fract_y
_atom_site_fract_z
Na1 Na 0.000 0.500 0.500
Na2 Na 0.202 0.202 0.000
Na3 Na 0.500 0.000 0.500
Na4 Na 0.798 0.798 0.000
Pa1 Pa 0.500 0.500 0.000
S1 S 0.162 0.600 0.000
S2 S 0.400 0.400 0.562
S3 S 0.600 0.162 0.000
S4 S 0.838 0.838 0.438
```

Most intense lines, 10° ≤ 2θ ≤ 90°, sorted by position:
two_theta  I_rel
14.79  100
18.16  25
23.49  19
25.76  33
29.86  37
36.78  41
39.82  36
48.06  19
52.98  16
68.32  11

No. 3
Na3Sc3PaS8: simulated powder diffractogram (copper Kα), based on a crystal structure in Alexandria, relaxed with PBE.

Atomic structure:
```
data_Na3Sc3PaS8
_chemical_formula_sum 'Na3 Sc3 Pa1 S8'
_cell_length_a 8.013
_cell_length_b 8.013
_cell_length_c 8.013
_cell_angle_alpha 56.78
_cell_angle_beta 56.78
_cell_angle_gamma 56.78
_space_group_name_H-M_alt 'P 1'
_space_group_IT_number 1
loop_
_space_group_symop_operation_xyz
'x,y,z'
loop_
_atom_site_label
_atom_site_type_symbol
_atom_site_fract_x
_atom_site_fract_y
_atom_site_fract_z
Na1 Na 0.000 0.500 0.500
Na2 Na 0.500 0.000 0.500
Na3 Na 0.500 0.500 0.000
Sc1 Sc 0.000 0.000 0.500
Sc2 Sc 0.000 0.500 0.000
Sc3 Sc 0.500 0.000 0.000
Pa1 Pa 0.500 0.500 0.500
S1 S 0.230 0.743 0.743
S2 S 0.238 0.238 0.238
S3 S 0.257 0.257 0.770
S4 S 0.257 0.770 0.257
S5 S 0.743 0.230 0.743
S6 S 0.743 0.743 0.230
S7 S 0.762 0.762 0.762
S8 S 0.770 0.257 0.257
```

Most intense lines, 10° ≤ 2θ ≤ 90°, sorted by position:
two_theta  I_rel
13.22  73
14.12  56
16.07  25
26.92  28
27.39  23
32.46  100
45.38  34
47.74  33
58.92  20
79.13  18

No. 4
Na2Sm2PaS6: simulated powder diffractogram (copper Kα), based on a crystal structure in Alexandria, relaxed with PBE.

Atomic structure:
```
data_Na2Sm2PaS6
_chemical_formula_sum 'Na2 Sm2 Pa1 S6'
_cell_length_a 7.027
_cell_length_b 7.027
_cell_length_c 7.120
_cell_angle_alpha 99.51
_cell_angle_beta 99.51
_cell_angle_gamma 119.60
_space_group_name_H-M_alt 'P 1'
_space_group_IT_number 1
loop_
_space_group_symop_operation_xyz
'x,y,z'
loop_
_atom_site_label
_atom_site_type_symbol
_atom_site_fract_x
_atom_site_fract_y
_atom_site_fract_z
Na1 Na 0.169 0.831 0.000
Na2 Na 0.831 0.169 0.000
Sm1 Sm 0.335 0.665 0.500
Sm2 Sm 0.665 0.335 0.500
Pa1 Pa 0.000 0.000 0.500
S1 S 0.070 0.398 0.723
S2 S 0.244 0.244 0.277
S3 S 0.398 0.070 0.723
S4 S 0.602 0.930 0.277
S5 S 0.756 0.756 0.723
S6 S 0.930 0.602 0.277
```

Most intense lines, 10° ≤ 2θ ≤ 90°, sorted by position:
two_theta  I_rel
13.17  100
25.60  18
25.73  35
26.88  20
30.98  91
33.85  14
40.45  23
44.24  21
44.49  22
46.60  17

No. 5
Na3Sm3PaS8: simulated powder diffractogram (copper Kα), based on a crystal structure in Alexandria, relaxed with PBE.

Atomic structure:
```
data_Na3Sm3PaS8
_chemical_formula_sum 'Na3 Sm3 Pa1 S8'
_cell_length_a 8.203
_cell_length_b 8.203
_cell_length_c 8.203
_cell_angle_alpha 59.63
_cell_angle_beta 59.63
_cell_angle_gamma 59.63
_space_group_name_H-M_alt 'P 1'
_space_group_IT_number 1
loop_
_space_group_symop_operation_xyz
'x,y,z'
loop_
_atom_site_label
_atom_site_type_symbol
_atom_site_fract_x
_atom_site_fract_y
_atom_site_fract_z
Na1 Na 0.000 0.500 0.500
Na2 Na 0.500 0.000 0.500
Na3 Na 0.500 0.500 0.000
Sm1 Sm 0.000 0.000 0.500
Sm2 Sm 0.000 0.500 0.000
Sm3 Sm 0.500 0.000 0.000
Pa1 Pa 0.500 0.500 0.500
S1 S 0.244 0.244 0.244
S2 S 0.251 0.736 0.736
S3 S 0.264 0.264 0.749
S4 S 0.264 0.749 0.264
S5 S 0.736 0.251 0.736
S6 S 0.736 0.736 0.251
S7 S 0.749 0.264 0.264
S8 S 0.756 0.756 0.756
```

Most intense lines, 10° ≤ 2θ ≤ 90°, sorted by position:
two_theta  I_rel
13.19  100
25.60  52
26.75  29
30.92  91
33.74  20
40.43  21
44.17  32
44.43  33
46.54  25
55.11  17

No. 6
NaSr2PaS5: simulated powder diffractogram (copper Kα), based on a crystal structure in Alexandria, relaxed with PBE.

Atomic structure:
```
data_NaSr2PaS5
_chemical_formula_sum 'Na1 Sr2 Pa1 S5'
_cell_length_a 8.461
_cell_length_b 8.461
_cell_length_c 8.461
_cell_angle_alpha 144.58
_cell_angle_beta 128.44
_cell_angle_gamma 64.11
_space_group_name_H-M_alt 'P 1'
_space_group_IT_number 1
loop_
_space_group_symop_operation_xyz
'x,y,z'
loop_
_atom_site_label
_atom_site_type_symbol
_atom_site_fract_x
_atom_site_fract_y
_atom_site_fract_z
Na1 Na 0.000 0.000 0.000
Sr1 Sr 0.290 0.790 0.500
Sr2 Sr 0.710 0.210 0.500
Pa1 Pa 0.500 0.500 0.000
S1 S 0.125 0.364 0.761
S2 S 0.397 0.636 0.761
S3 S 0.500 0.000 0.500
S4 S 0.603 0.364 0.239
S5 S 0.875 0.636 0.239
```

Most intense lines, 10° ≤ 2θ ≤ 90°, sorted by position:
two_theta  I_rel
13.52  100
18.31  28
24.19  17
24.48  85
33.53  22
34.91  54
35.38  39
37.57  22
42.73  21
50.18  22